Theoretical powder diffractogram
Compound: NaNp2NiS5
Radiation: Cu Ka
Structure: a DFT-relaxed cell (GGA-PBE, Alexandria)
No peak broadening, texture or thermal motion is included.

a b c (Å): 7.749 7.749 7.749
angles (deg): 147.70 128.55 62.07
Fractional positions:
Na 0.000 0.000 0.000
Np 0.304 0.804 0.500
Np 0.696 0.196 0.500
Ni 0.500 0.500 0.000
S 0.109 0.354 0.755
S 0.401 0.646 0.755
S 0.500 0.000 0.500
S 0.599 0.354 0.245
S 0.891 0.646 0.245

Peak list (10 most intense, 2θ = 10–80°, low angle first)
| 2θ (°) | Rel. int. |
| --- | --- |
| 13.3 | 57 |
| 14.8 | 71 |
| 24.1 | 42 |
| 24.5 | 64 |
| 26.5 | 33 |
| 28.0 | 100 |
| 36.4 | 42 |
| 39.6 | 63 |
| 41.9 | 25 |
| 48.5 | 25 |

Theoretical powder diffractogram
Compound: NaNp2NiSe4
Radiation: Cu Ka
Structure: a DFT-relaxed cell (GGA-PBE, Alexandria)
No peak broadening, texture or thermal motion is included.

a b c (Å): 6.191 6.191 6.191
angles (deg): 110.05 110.05 108.33
Fractional positions:
Na 0.000 0.000 0.000
Np 0.250 0.750 0.500
Np 0.750 0.250 0.500
Ni 0.500 0.500 0.000
Se 0.268 0.268 0.536
Se 0.268 0.732 0.000
Se 0.732 0.268 0.000
Se 0.732 0.732 0.464

Peak list (10 most intense, 2θ = 10–80°, low angle first)
| 2θ (°) | Rel. int. |
| --- | --- |
| 17.7 | 77 |
| 30.4 | 99 |
| 35.4 | 100 |
| 35.8 | 76 |
| 40.2 | 23 |
| 47.7 | 55 |
| 51.5 | 26 |
| 63.3 | 29 |
| 64.0 | 34 |
| 72.8 | 17 |